1.
Diffraction record for Li6Ca2Sn9. The powder XRD pattern is calculated, not measured: it uses a structure optimized by DFT (GGA-PBE) and Cu Kα (weighted mean of Kα1 and Kα2).

Most intense lines, 15 to 90 degrees two-theta, low angle first:
two_theta	d/Å	Rel. int.	index
16.57	5.349	34	1 0 0
19.80	4.484	83	0 0 3
25.93	3.436	53	1 0 3
33.51	2.675	99	2 0 0
35.29	2.543	29	1 1 3
39.22	2.297	100	2 0 3
40.23	2.242	21	0 0 6
53.32	1.718	52	2 0 6
63.74	1.460	23	2 2 3
74.63	1.272	22	2 2 6

Cell and atoms:
```
data_Li6Ca2Sn9
_cell_length_a 6.1767
_cell_length_b 6.1767
_cell_length_c 13.4513
_cell_angle_alpha 90.00
_cell_angle_beta 90.00
_cell_angle_gamma 120.00
_space_group_name_H-M_alt 'P 6/m m m'
_space_group_IT_number 191
_space_group_name_Hall '-P 6 2'
loop_
_atom_site_label
_atom_site_type_symbol
_atom_site_fract_x
_atom_site_fract_y
_atom_site_fract_z
_atom_site_occupancy
Li1 Li 0.3333 0.6667 0.0000 1
Li2 Li 0.3333 0.6667 0.3376 1
Ca1 Ca 0.0000 0.0000 0.3366 1
Sn1 Sn 0.0000 0.5000 0.1721 1
Sn2 Sn 0.0000 0.5000 0.5000 1
```


2.
Diffraction record for NaSr3Ir. The powder XRD pattern is calculated, not measured: it uses a structure optimized by DFT (GGA-PBE) and Cu Kα (weighted mean of Kα1 and Kα2).

Most intense lines, 15 to 90 degrees two-theta, low angle first:
two_theta	d/Å	Rel. int.	index
15.08	5.874	100	1 0 0
24.51	3.632	38	-1 1 1
26.26	3.394	55	0 1 -2
29.19	3.060	69	0 2 2
30.44	2.937	33	2 0 0
32.91	2.722	36	2 0 -1
34.74	2.582	37	0 2 3
35.27	2.544	43	0 1 -3
38.50	2.338	34	-2 1 1
41.03	2.200	51	0 3 0

Cell and atoms:
```
data_NaSr3Ir
_cell_length_a 6.3213
_cell_length_b 7.3024
_cell_length_c 9.6265
_cell_angle_alpha 72.96
_cell_angle_beta 79.21
_cell_angle_gamma 68.94
_space_group_name_H-M_alt 'P 1'
_space_group_IT_number 1
loop_
_space_group_symop_operation_xyz
'x,y,z'
loop_
_atom_site_label
_atom_site_type_symbol
_atom_site_fract_x
_atom_site_fract_y
_atom_site_fract_z
_atom_site_occupancy
Na1 Na 0.0000 0.0000 0.0000 1
Na2 Na 0.1783 0.4659 0.0539 1
Sr1 Sr 0.0543 0.5607 0.4335 1
Sr2 Sr 0.1237 0.9072 0.6201 1
Sr3 Sr 0.4818 0.8797 0.2312 1
Sr4 Sr 0.4833 0.2008 0.7273 1
Sr5 Sr 0.6947 0.2670 0.3263 1
Sr6 Sr 0.6961 0.5881 0.8226 1
Ir1 Ir 0.5324 0.5859 0.5139 1
Ir2 Ir 0.6456 0.8819 0.5399 1
```


3.
Diffraction record for TlAgC. The powder XRD pattern is calculated, not measured: it uses a structure optimized by DFT (GGA-PBE) and Cu Kα (weighted mean of Kα1 and Kα2).

Most intense lines, 15 to 90 degrees two-theta, low angle first:
two_theta	d/Å	Rel. int.	index
19.00	4.672	25	0 1 0
22.63	3.929	17	1 0 0
28.94	3.085	20	0 1 1
30.78	2.905	17	0 0 2
31.53	2.838	100	1 -1 1
31.60	2.832	46	-1 1 1
31.80	2.814	90	1 1 -2
35.18	2.551	48	0 2 -1
42.76	2.115	46	0 1 2
43.34	2.088	28	2 0 -1

Cell and atoms:
```
data_TlAgC
_cell_length_a 4.1753
_cell_length_b 5.1024
_cell_length_c 6.6710
_cell_angle_alpha 112.34
_cell_angle_beta 107.95
_cell_angle_gamma 90.51
_space_group_name_H-M_alt 'P 1'
_space_group_IT_number 1
loop_
_space_group_symop_operation_xyz
'x,y,z'
loop_
_atom_site_label
_atom_site_type_symbol
_atom_site_fract_x
_atom_site_fract_y
_atom_site_fract_z
_atom_site_occupancy
Tl1 Tl 0.0000 0.0000 0.0000 1
Tl2 Tl 0.2672 0.7676 0.5363 1
Ag1 Ag 0.5604 0.5640 0.1234 1
Ag2 Ag 0.8777 0.3759 0.7529 1
C1 C 0.6694 0.2990 0.3414 1
C2 C 0.6724 0.0477 0.3423 1
```


4.
Diffraction record for YSnRh3. The powder XRD pattern is calculated, not measured: it uses a structure optimized by DFT (GGA-PBE) and Cu Kα (weighted mean of Kα1 and Kα2).

Most intense lines, 15 to 90 degrees two-theta, low angle first:
two_theta	d/Å	Rel. int.	index
30.24	2.955	99	1 2 1
35.85	2.505	51	2 1 1
36.99	2.430	65	0 3 1
38.07	2.363	87	2 0 2
40.08	2.250	75	0 0 4
40.27	2.240	38	2 2 0
41.72	2.165	100	1 2 3
45.23	2.005	80	2 2 2
47.04	1.932	42	0 3 3
64.00	1.455	28	3 2 3

Cell and atoms:
```
data_YSnRh3
_cell_length_a 5.5551
_cell_length_b 7.5721
_cell_length_c 8.9986
_cell_angle_alpha 90.00
_cell_angle_beta 90.00
_cell_angle_gamma 90.00
_space_group_name_H-M_alt 'I m m a'
_space_group_IT_number 74
_space_group_name_Hall '-I 2b 2'
loop_
_atom_site_label
_atom_site_type_symbol
_atom_site_fract_x
_atom_site_fract_y
_atom_site_fract_z
_atom_site_occupancy
Y1 Y 0.0000 0.2500 0.0131 1
Sn1 Sn 0.0000 0.0000 0.5000 1
Rh1 Rh 0.0000 0.2500 0.7071 1
Rh2 Rh 0.2500 0.0546 0.2500 1
```


5.
Diffraction record for Pm4TeAu. The powder XRD pattern is calculated, not measured: it uses a structure optimized by DFT (GGA-PBE) and Cu Kα (weighted mean of Kα1 and Kα2).

Most intense lines, 15 to 90 degrees two-theta, low angle first:
two_theta	d/Å	Rel. int.	index
30.12	2.967	100	1 1 4
30.28	2.952	46	2 1 0
31.26	2.861	69	0 1 5
31.41	2.848	29	3 0 1
33.12	2.705	92	2 1 3
35.52	2.527	25	0 0 8
35.92	2.500	43	3 0 4
37.72	2.385	33	2 1 5
38.65	2.330	22	3 1 1
44.76	2.025	43	0 2 0

Cell and atoms:
```
data_Pm4TeAu
_cell_length_a 8.6310
_cell_length_b 4.0490
_cell_length_c 20.2163
_cell_angle_alpha 90.00
_cell_angle_beta 90.00
_cell_angle_gamma 90.00
_space_group_name_H-M_alt 'P n m a'
_space_group_IT_number 62
loop_
_space_group_symop_operation_xyz
'x,y,z'
'-x,-y,-z'
'-x+1/2,-y,z+1/2'
'x+1/2,y,-z+1/2'
'x+1/2,-y+1/2,-z+1/2'
'-x+1/2,y+1/2,z+1/2'
'-x,y+1/2,-z'
'x,-y+1/2,z'
loop_
_atom_site_label
_atom_site_type_symbol
_atom_site_fract_x
_atom_site_fract_y
_atom_site_fract_z
_atom_site_occupancy
Pm1 Pm 0.0110 0.2500 0.2208 1
Pm2 Pm 0.0244 0.2500 0.9272 1
Pm3 Pm 0.1253 0.2500 0.4403 1
Pm4 Pm 0.1595 0.2500 0.6528 1
Te1 Te 0.2165 0.7500 0.3120 1
Au1 Au 0.2433 0.2500 0.0489 1
```


6.
Diffraction record for BeAlNi6. The powder XRD pattern is calculated, not measured: it uses a structure optimized by DFT (GGA-PBE) and Cu Kα (weighted mean of Kα1 and Kα2).

Most intense lines, 15 to 90 degrees two-theta, low angle first:
two_theta	d/Å	Rel. int.	index
25.25	3.527	13	1 0 0
25.86	3.445	6	0 0 2
36.01	2.494	5	1 1 0
36.46	2.465	10	1 0 2
44.86	2.020	100	1 1 2
51.84	1.764	32	2 0 0
53.18	1.722	14	0 0 4
65.03	1.434	3	2 1 2
76.36	1.247	9	2 2 0
77.45	1.232	17	2 0 4

Cell and atoms:
```
data_BeAlNi6
_cell_length_a 3.5274
_cell_length_b 3.5274
_cell_length_c 6.8899
_cell_angle_alpha 90.00
_cell_angle_beta 90.00
_cell_angle_gamma 90.00
_space_group_name_H-M_alt 'P 4/m m m'
_space_group_IT_number 123
_space_group_name_Hall '-P 4 2'
loop_
_atom_site_label
_atom_site_type_symbol
_atom_site_fract_x
_atom_site_fract_y
_atom_site_fract_z
_atom_site_occupancy
Be1 Be 0.0000 0.0000 0.0000 1
Al1 Al 0.0000 0.0000 0.5000 1
Ni1 Ni 0.0000 0.5000 0.2376 1
Ni2 Ni 0.5000 0.5000 0.0000 1
Ni3 Ni 0.5000 0.5000 0.5000 1
```


7.
Diffraction record for TbErPb6. The powder XRD pattern is calculated, not measured: it uses a structure optimized by DFT (GGA-PBE) and Cu Kα (weighted mean of Kα1 and Kα2).

Most intense lines, 15 to 90 degrees two-theta, low angle first:
two_theta	d/Å	Rel. int.	index
18.20	4.875	1	1 0 0
25.85	3.447	1	1 1 0
31.79	2.815	100	1 1 2
36.88	2.438	51	2 0 0
53.14	1.724	36	2 2 0
63.27	1.470	43	3 1 2
66.43	1.407	13	2 2 4
78.48	1.219	6	4 0 0
87.15	1.118	19	3 3 2

Cell and atoms:
```
data_TbErPb6
_cell_length_a 4.8746
_cell_length_b 4.8746
_cell_length_c 9.7519
_cell_angle_alpha 90.00
_cell_angle_beta 90.00
_cell_angle_gamma 90.00
_space_group_name_H-M_alt 'P 4/m m m'
_space_group_IT_number 123
_space_group_name_Hall '-P 4 2'
loop_
_atom_site_label
_atom_site_type_symbol
_atom_site_fract_x
_atom_site_fract_y
_atom_site_fract_z
_atom_site_occupancy
Tb1 Tb 0.0000 0.0000 0.0000 1
Er1 Er 0.0000 0.0000 0.5000 1
Pb1 Pb 0.0000 0.5000 0.2514 1
Pb2 Pb 0.5000 0.5000 0.0000 1
Pb3 Pb 0.5000 0.5000 0.5000 1
```


8.
Diffraction record for PmCd4Ni. The powder XRD pattern is calculated, not measured: it uses a structure optimized by DFT (GGA-PBE) and Cu Kα (weighted mean of Kα1 and Kα2).

Most intense lines, 15 to 90 degrees two-theta, low angle first:
two_theta	d/Å	Rel. int.	index
28.29	3.155	27	2 2 0
31.16	2.870	22	0 2 1
32.54	2.752	32	5 1 -1
33.66	2.663	46	2 0 -2
35.31	2.542	68	4 0 1
35.88	2.503	100	4 2 -1
44.53	2.035	37	0 2 2
61.27	1.513	15	2 0 3
61.64	1.505	16	6 2 -3
68.16	1.376	15	6 2 2

Cell and atoms:
```
data_PmCd4Ni
_cell_length_a 15.4121
_cell_length_b 7.0124
_cell_length_c 5.3254
_cell_angle_alpha 90.00
_cell_angle_beta 110.20
_cell_angle_gamma 90.00
_space_group_name_H-M_alt 'C 1 2/m 1'
_space_group_IT_number 12
loop_
_space_group_symop_operation_xyz
'x,y,z'
'-x,-y,-z'
'-x,y,-z'
'x,-y,z'
'x+1/2,y+1/2,z'
'-x+1/2,-y+1/2,-z'
'-x+1/2,y+1/2,-z'
'x+1/2,-y+1/2,z'
loop_
_atom_site_label
_atom_site_type_symbol
_atom_site_fract_x
_atom_site_fract_y
_atom_site_fract_z
_atom_site_occupancy
Pm1 Pm 0.2067 0.0000 0.2063 1
Cd1 Cd 0.0000 0.1956 0.0000 1
Cd2 Cd 0.1125 0.2278 0.6118 1
Cd3 Cd 0.1616 0.5000 0.1626 1
Ni1 Ni 0.9996 0.5000 0.2737 1
```


9.
Diffraction record for Li3B4C4. The powder XRD pattern is calculated, not measured: it uses a structure optimized by DFT (GGA-PBE) and Cu Kα (weighted mean of Kα1 and Kα2).

Most intense lines, 15 to 90 degrees two-theta, low angle first:
two_theta	d/Å	Rel. int.	index
24.74	3.598	100	0 8 0
38.06	2.364	5	1 0 1
45.93	1.976	34	1 8 1
46.18	1.966	18	0 8 2
50.75	1.799	17	0 16 0
68.57	1.368	6	2 0 0
69.17	1.358	11	1 0 3
74.13	1.279	3	2 8 0
74.70	1.271	5	1 8 3
86.70	1.123	5	2 8 2

Cell and atoms:
```
data_Li3B4C4
_cell_length_a 2.7369
_cell_length_b 28.7856
_cell_length_c 4.6934
_cell_angle_alpha 90.00
_cell_angle_beta 90.00
_cell_angle_gamma 90.00
_space_group_name_H-M_alt 'I m m 2'
_space_group_IT_number 44
loop_
_space_group_symop_operation_xyz
'x,y,z'
'-x,-y,z'
'-x,y,z'
'x,-y,z'
'x+1/2,y+1/2,z+1/2'
'-x+1/2,-y+1/2,z+1/2'
'-x+1/2,y+1/2,z+1/2'
'x+1/2,-y+1/2,z+1/2'
loop_
_atom_site_label
_atom_site_type_symbol
_atom_site_fract_x
_atom_site_fract_y
_atom_site_fract_z
_atom_site_occupancy
Li1 Li 0.0000 0.0627 0.0000 1
Li2 Li 0.0000 0.1864 0.9866 1
Li3 Li 0.0000 0.4370 0.9984 1
B1 B 0.0000 0.0000 0.6631 1
B2 B 0.0000 0.1253 0.3361 1
B3 B 0.0000 0.2463 0.6277 1
B4 B 0.0000 0.3774 0.3313 1
B5 B 0.0000 0.5000 0.6630 1
C1 C 0.0000 0.0000 0.3281 1
C2 C 0.0000 0.1212 0.6695 1
C3 C 0.0000 0.2537 0.2895 1
C4 C 0.0000 0.3758 0.6689 1
C5 C 0.0000 0.5000 0.3282 1
```


10.
Diffraction record for LiPaCu10. The powder XRD pattern is calculated, not measured: it uses a structure optimized by DFT (GGA-PBE) and Cu Kα (weighted mean of Kα1 and Kα2).

Most intense lines, 15 to 90 degrees two-theta, low angle first:
two_theta	d/Å	Rel. int.	index
17.82	4.979	29	0 1 0
27.69	3.221	24	0 1 2
30.10	2.969	35	1 1 1
35.40	2.536	29	1 1 2
36.66	2.452	25	0 1 3
42.13	2.145	32	0 2 2
42.45	2.130	53	1 2 0
42.95	2.106	100	1 1 3
44.04	2.056	48	2 0 0
47.84	1.901	23	1 2 2

Cell and atoms:
```
data_LiPaCu10
_cell_length_a 4.1124
_cell_length_b 4.9788
_cell_length_c 8.4501
_cell_angle_alpha 90.00
_cell_angle_beta 90.00
_cell_angle_gamma 90.00
_space_group_name_H-M_alt 'P m m m'
_space_group_IT_number 47
loop_
_space_group_symop_operation_xyz
'x,y,z'
'-x,-y,-z'
'-x,-y,z'
'x,y,-z'
'x,-y,-z'
'-x,y,z'
'-x,y,-z'
'x,-y,z'
loop_
_atom_site_label
_atom_site_type_symbol
_atom_site_fract_x
_atom_site_fract_y
_atom_site_fract_z
_atom_site_occupancy
Li1 Li 0.0000 0.0000 0.0000 1
Pa1 Pa 0.0000 0.5000 0.5000 1
Cu1 Cu 0.0000 0.0000 0.3195 1
Cu2 Cu 0.0000 0.5000 0.1584 1
Cu3 Cu 0.5000 0.0000 0.5000 1
Cu4 Cu 0.5000 0.2545 0.2528 1
Cu5 Cu 0.5000 0.5000 0.0000 1
```


11.
Diffraction record for Er2Ge5. The powder XRD pattern is calculated, not measured: it uses a structure optimized by DFT (GGA-PBE) and Cu Kα (weighted mean of Kα1 and Kα2).

Most intense lines, 15 to 90 degrees two-theta, low angle first:
two_theta	d/Å	Rel. int.	index
24.68	3.607	23	1 0 2
33.33	2.688	16	1 1 2
34.36	2.610	30	0 0 7
35.14	2.554	100	1 1 3
37.00	2.430	16	0 1 6
37.55	2.395	55	1 1 4
41.55	2.173	19	1 0 7
44.97	2.016	28	0 2 0
46.24	1.963	25	2 0 0
66.48	1.406	17	2 2 0

Cell and atoms:
```
data_Er2Ge5
_cell_length_a 3.9263
_cell_length_b 4.0317
_cell_length_c 18.2674
_cell_angle_alpha 90.00
_cell_angle_beta 90.00
_cell_angle_gamma 90.00
_space_group_name_H-M_alt 'P m m n'
_space_group_IT_number 59
loop_
_space_group_symop_operation_xyz
'x,y,z'
'-x,-y,-z'
'-x+1/2,-y+1/2,z'
'x+1/2,y+1/2,-z'
'x+1/2,-y,-z'
'-x+1/2,y,z'
'-x,y+1/2,-z'
'x,-y+1/2,z'
loop_
_atom_site_label
_atom_site_type_symbol
_atom_site_fract_x
_atom_site_fract_y
_atom_site_fract_z
_atom_site_occupancy
Er1 Er 0.2500 0.2500 0.1270 1
Er2 Er 0.2500 0.7500 0.6912 1
Ge1 Ge 0.2500 0.2500 0.4319 1
Ge2 Ge 0.2500 0.2500 0.5696 1
Ge3 Ge 0.2500 0.2500 0.8309 1
Ge4 Ge 0.2500 0.7500 0.0034 1
Ge5 Ge 0.2500 0.7500 0.2614 1
```


12.
Diffraction record for Pa2NiMoN6. The powder XRD pattern is calculated, not measured: it uses a structure optimized by DFT (GGA-PBE) and Cu Kα (weighted mean of Kα1 and Kα2).

Most intense lines, 15 to 90 degrees two-theta, low angle first:
two_theta	d/Å	Rel. int.	index
19.23	4.614	27	0 0 1
23.81	3.737	18	1 1 0
30.79	2.904	100	1 1 1
33.92	2.643	40	2 0 0
39.29	2.293	18	2 0 1
46.24	1.963	20	1 1 2
48.73	1.869	20	2 2 0
52.66	1.738	21	2 0 2
58.76	1.571	33	3 1 1
69.44	1.354	12	3 1 2

Cell and atoms:
```
data_Pa2NiMoN6
_cell_length_a 5.2854
_cell_length_b 5.2854
_cell_length_c 4.6144
_cell_angle_alpha 90.00
_cell_angle_beta 90.00
_cell_angle_gamma 90.00
_space_group_name_H-M_alt 'P 4 m m'
_space_group_IT_number 99
loop_
_space_group_symop_operation_xyz
'x,y,z'
'-y,x,z'
'-x,-y,z'
'y,-x,z'
'-x,y,z'
'y,x,z'
'x,-y,z'
'-y,-x,z'
loop_
_atom_site_label
_atom_site_type_symbol
_atom_site_fract_x
_atom_site_fract_y
_atom_site_fract_z
_atom_site_occupancy
Pa1 Pa 0.0000 0.5000 0.0000 1
Ni1 Ni 0.0000 0.0000 0.6277 1
Mo1 Mo 0.5000 0.5000 0.5768 1
N1 N 0.0000 0.0000 0.1850 1
N2 N 0.2515 0.2515 0.7231 1
N3 N 0.5000 0.5000 0.1784 1
```


13.
Diffraction record for Rb2FeOs. The powder XRD pattern is calculated, not measured: it uses a structure optimized by DFT (GGA-PBE) and Cu Kα (weighted mean of Kα1 and Kα2).

Most intense lines, 15 to 90 degrees two-theta, low angle first:
two_theta	d/Å	Rel. int.	index
18.90	4.695	20	1 1 1
31.11	2.875	100	2 2 0
36.65	2.452	12	3 1 1
44.57	2.033	18	4 0 0
48.82	1.866	5	3 3 1
55.35	1.660	38	4 2 2
59.03	1.565	4	5 1 1
64.86	1.437	12	4 4 0
68.23	1.375	4	5 3 1
73.68	1.286	16	6 2 0

Cell and atoms:
```
data_Rb2FeOs
_cell_length_a 8.1317
_cell_length_b 8.1317
_cell_length_c 8.1317
_cell_angle_alpha 90.00
_cell_angle_beta 90.00
_cell_angle_gamma 90.00
_space_group_name_H-M_alt 'F m -3 m'
_space_group_IT_number 225
_space_group_name_Hall '-F 4 2 3'
loop_
_atom_site_label
_atom_site_type_symbol
_atom_site_fract_x
_atom_site_fract_y
_atom_site_fract_z
_atom_site_occupancy
Rb1 Rb 0.2500 0.2500 0.2500 1
Fe1 Fe 0.0000 0.0000 0.0000 1
Os1 Os 0.0000 0.0000 0.5000 1
```